1.
The following is a theoretical X-ray powder pattern of Rb3Ag2Br2F3. It was derived from the PBE geometry in Alexandria, using copper Kα.
Kinematic intensities with the Lorentz-polarization factor, no thermal factor.

Structural model:
```
data_Rb3Ag2Br2F3
_cell_length_a 5.174
_cell_length_b 5.174
_cell_length_c 23.409
_cell_angle_alpha 90.00
_cell_angle_beta 90.00
_cell_angle_gamma 90.00
_symmetry_space_group_name_H-M 'I 4/m m m'
_symmetry_Int_Tables_number 139
_symmetry_space_group_name_Hall '-I 4 2'
loop_
_atom_site_label
_atom_site_type_symbol
_atom_site_fract_x
_atom_site_fract_y
_atom_site_fract_z
_atom_site_occupancy
Rb1 Rb 0.000 0.000 0.000 1
Rb2 Rb 0.000 0.000 0.383 1
Ag1 Ag 0.000 0.000 0.206 1
Br1 Br 0.000 0.500 0.250 1
F1 F 0.000 0.000 0.109 1
F2 F 0.000 0.000 0.500 1
```

Top 10 peaks for 10 to 90 degrees two-theta, by angle:
index  2θ/deg  Rel. int.
0 0 4  15.14  15
1 1 0  24.33  53
1 0 5  25.66  100
1 0 7  31.86  17
2 0 0  34.68  72
2 1 5  43.64  48
1 1 10  46.03  46
2 2 0  49.86  25
1 1 12  53.21  16
3 1 10  70.19  24



2.
The following is a theoretical X-ray powder pattern of CaSc3Sb2. It was derived from the PBE geometry in Alexandria, using copper Kα.
Kinematic intensities with the Lorentz-polarization factor, no thermal factor.

Structural model:
```
data_CaSc3Sb2
_cell_length_a 17.358
_cell_length_b 4.406
_cell_length_c 8.822
_cell_angle_alpha 90.00
_cell_angle_beta 112.73
_cell_angle_gamma 90.00
_symmetry_space_group_name_H-M 'C 1 2/m 1'
_symmetry_Int_Tables_number 12
loop_
_symmetry_equiv_pos_as_xyz
'x,y,z'
'-x,-y,-z'
'-x,y,-z'
'x,-y,z'
'x+1/2,y+1/2,z'
'-x+1/2,-y+1/2,-z'
'-x+1/2,y+1/2,-z'
'x+1/2,-y+1/2,z'
loop_
_atom_site_label
_atom_site_type_symbol
_atom_site_fract_x
_atom_site_fract_y
_atom_site_fract_z
_atom_site_occupancy
Ca1 Ca 0.110 0.000 0.129 1
Sc1 Sc 0.066 0.000 0.681 1
Sc2 Sc 0.146 0.500 0.491 1
Sc3 Sc 0.192 0.500 0.893 1
Sb1 Sb 0.011 0.500 0.822 1
Sb2 Sb 0.244 0.000 0.716 1
```

Top 10 peaks for 10 to 90 degrees two-theta, by angle:
index  2θ/deg  Rel. int.
0 0 2  21.85  52
4 0 0  22.21  48
1 1 -1  22.60  49
1 1 -2  28.79  48
3 1 1  30.92  69
5 1 -1  32.85  85
5 1 0  34.63  45
1 1 -3  37.47  100
5 1 -3  39.91  45
0 2 0  40.97  67



3.
The following is a theoretical X-ray powder pattern of HoNi3B. It was derived from the PBE geometry in Alexandria, using copper Kα.
Kinematic intensities with the Lorentz-polarization factor, no thermal factor.

Structural model:
```
data_HoNi3B
_cell_length_a 5.6120
_cell_length_b 5.6120
_cell_length_c 9.2988
_cell_angle_alpha 90.00
_cell_angle_beta 90.00
_cell_angle_gamma 120.00
_symmetry_space_group_name_H-M 'P 63/m m c'
_symmetry_Int_Tables_number 194
_symmetry_space_group_name_Hall '-P 6c 2c'
loop_
_atom_site_label
_atom_site_type_symbol
_atom_site_fract_x
_atom_site_fract_y
_atom_site_fract_z
_atom_site_occupancy
Ho1 Ho 0.0000 0.0000 0.0000 1
Ho2 Ho 0.3333 0.6667 0.2500 1
Ni1 Ni 0.0000 0.5000 0.0000 1
Ni2 Ni 0.1545 0.3089 0.7500 1
B1 B 0.3333 0.6667 0.6408 1
```

Top 10 peaks for 10 to 90 degrees two-theta, by angle:
index  2θ/deg  Rel. int.
1 0 1  20.62  14
1 0 2  26.53  20
1 1 0  31.89  17
2 0 1  38.28  40
0 0 4  38.73  36
2 0 2  41.95  100
2 0 3  47.55  23
2 2 0  66.66  21
2 0 6  72.31  19
2 2 4  79.85  23



4.
The following is a theoretical X-ray powder pattern of SnS16I4. It was derived from the PBE geometry in Alexandria, using copper Kα.
Kinematic intensities with the Lorentz-polarization factor, no thermal factor.

Structural model:
```
data_SnS16I4
_cell_length_a 23.065
_cell_length_b 23.369
_cell_length_c 12.468
_cell_angle_alpha 90.00
_cell_angle_beta 90.00
_cell_angle_gamma 90.00
_symmetry_space_group_name_H-M 'F d d 2'
_symmetry_Int_Tables_number 43
_symmetry_space_group_name_Hall 'F 2 -2d'
loop_
_atom_site_label
_atom_site_type_symbol
_atom_site_fract_x
_atom_site_fract_y
_atom_site_fract_z
_atom_site_occupancy
Sn1 Sn 0.000 0.000 0.000 1
S1 S 0.002 0.398 0.861 1
S2 S 0.004 0.156 0.231 1
S3 S 0.012 0.147 0.501 1
S4 S 0.067 0.330 0.067 1
S5 S 0.078 0.317 0.687 1
S6 S 0.087 0.248 0.024 1
S7 S 0.095 0.238 0.754 1
S8 S 0.108 0.498 0.143 1
I1 I 0.001 0.405 0.375 1
I2 I 0.096 0.001 0.124 1
```

Top 10 peaks for 10 to 90 degrees two-theta, by angle:
index  2θ/deg  Rel. int.
2 2 0  10.78  41
1 3 1  13.94  51
3 1 1  14.05  48
4 4 0  21.65  92
2 4 2  22.23  62
4 2 2  22.34  70
1 3 3  24.61  53
0 6 2  26.98  100
6 0 2  27.25  74
6 6 4  44.03  68



5.
The following is a theoretical X-ray powder pattern of H2S3Cl. It was derived from the PBE geometry in Alexandria, using copper Kα.
Kinematic intensities with the Lorentz-polarization factor, no thermal factor.

Structural model:
```
data_H2S3Cl
_cell_length_a 3.911
_cell_length_b 4.868
_cell_length_c 16.705
_cell_angle_alpha 85.67
_cell_angle_beta 89.47
_cell_angle_gamma 72.07
_symmetry_space_group_name_H-M 'P -1'
_symmetry_Int_Tables_number 2
loop_
_symmetry_equiv_pos_as_xyz
'x,y,z'
'-x,-y,-z'
loop_
_atom_site_label
_atom_site_type_symbol
_atom_site_fract_x
_atom_site_fract_y
_atom_site_fract_z
_atom_site_occupancy
H1 H 0.110 0.303 0.332 1
H2 H 0.173 0.723 0.861 1
S1 S 0.200 0.304 0.487 1
S2 S 0.239 0.421 0.977 1
S3 S 0.338 0.405 0.374 1
Cl1 Cl 0.133 0.910 0.799 1
```

Top 10 peaks for 10 to 90 degrees two-theta, by angle:
index  2θ/deg  Rel. int.
0 0 2  10.62  92
0 1 0  19.22  30
0 1 -1  20.35  36
0 1 2  21.30  52
0 1 -2  22.72  84
0 1 3  24.11  44
1 0 -2  26.05  99
1 1 2  27.44  100
1 0 3  29.09  30
1 2 0  39.06  26



6.
The following is a theoretical X-ray powder pattern of Na3ZnSe2. It was derived from the PBE geometry in Alexandria, using copper Kα.
Kinematic intensities with the Lorentz-polarization factor, no thermal factor.

Structural model:
```
data_Na3ZnSe2
_cell_length_a 6.896
_cell_length_b 13.483
_cell_length_c 7.150
_cell_angle_alpha 90.00
_cell_angle_beta 90.00
_cell_angle_gamma 90.00
_symmetry_space_group_name_H-M 'I b a m'
_symmetry_Int_Tables_number 72
_symmetry_space_group_name_Hall '-I 2 2c'
loop_
_atom_site_label
_atom_site_type_symbol
_atom_site_fract_x
_atom_site_fract_y
_atom_site_fract_z
_atom_site_occupancy
Na1 Na 0.000 0.000 0.250 1
Na2 Na 0.000 0.268 0.250 1
Zn1 Zn 0.000 0.500 0.000 1
Se1 Se 0.230 0.130 0.000 1
```

Top 10 peaks for 10 to 90 degrees two-theta, by angle:
index  2θ/deg  Rel. int.
1 2 1  22.24  100
0 0 2  24.91  19
1 3 2  34.60  21
2 0 2  36.19  14
2 4 0  37.31  44
1 2 3  42.30  18
3 2 1  43.48  14
1 6 1  44.24  15
2 4 2  45.38  14
2 4 4  64.95  16